Simulated XRD peak list of K3NaCo2F9 for λ = 1.5418 Å (Cu Kα), from a DFT-relaxed cell (GGA+U, Alexandria).
Intensities are scaled so that the largest is 100.

Principal peaks in the range 10 to 80 degrees two-theta, low angle first:
- d 4.160, 2θ = 21.36°, intensity 27, hkl 1 0 1
- d 2.941, 2θ = 30.39°, intensity 100, hkl 0 1 2
- d 2.402, 2θ = 37.44°, intensity 17, hkl 0 2 1
- d 2.080, 2θ = 43.51°, intensity 71, hkl 2 0 2
- d 1.699, 2θ = 53.97°, intensity 28, hkl 3 0 0
- d 1.472, 2θ = 63.17°, intensity 19, hkl 2 2 0
- d 1.470, 2θ = 63.28°, intensity 18, hkl 0 2 4
- d 1.315, 2θ = 71.75°, intensity 15, hkl 2 1 4

Structural model:
```
K3NaCo2F9
1.0
5.888 0.000 0.000
-2.944 5.099 0.000
0.000 0.000 7.193
K Na Co F
3 1 2 9
direct
0.000 0.000 0.000
0.333 0.667 0.655
0.667 0.333 0.345
0.000 0.000 0.500
0.333 0.667 0.161
0.667 0.333 0.839
0.000 0.500 0.000
0.176 0.352 0.312
0.176 0.824 0.312
0.352 0.176 0.688
0.500 0.000 0.000
0.500 0.500 0.000
0.648 0.824 0.312
0.824 0.176 0.688
0.824 0.648 0.688
```